1.
Computed powder XRD pattern
Compound: TlIn3Hg10
Radiation: Cu Ka
Structure: a structure optimized by DFT (GGA-PBE)
No peak broadening, texture or thermal motion is included.

```
data_TlIn3Hg10
_chemical_formula_sum 'Tl8 In24 Hg80'
_cell_length_a 15.0061
_cell_length_b 15.0061
_cell_length_c 15.0061
_cell_angle_alpha 90.00
_cell_angle_beta 90.00
_cell_angle_gamma 90.00
_symmetry_space_group_name_H-M 'F m -3 m'
_symmetry_Int_Tables_number 225
_symmetry_space_group_name_Hall '-F 4 2 3'
loop_
_atom_site_label
_atom_site_fract_x
_atom_site_fract_y
_atom_site_fract_z
Tl1 0.2500 0.2500 0.2500
In1 0.0000 0.0000 0.2127
Hg1 0.0000 0.1716 0.3283
Hg2 0.1329 0.1329 0.1329
```

Most intense lines, 10 to 80 degrees two-theta, in order of rising 2θ:
2θ (°), intensity
26.56, 13
30.97, 100
33.79, 30
35.39, 41
35.91, 28
39.85, 22
51.69, 26
55.81, 13
60.44, 20
61.48, 13

=====

2.
Computed powder XRD pattern
Compound: Tl3In3Hg8
Radiation: Cu Ka
Structure: a structure optimized by DFT (GGA-PBE)
No peak broadening, texture or thermal motion is included.

```
data_Tl3In3Hg8
_chemical_formula_sum 'Tl3 In3 Hg8'
_cell_length_a 5.2404
_cell_length_b 9.0280
_cell_length_c 9.7639
_cell_angle_alpha 113.61
_cell_angle_beta 105.14
_cell_angle_gamma 96.74
_symmetry_space_group_name_H-M 'P -1'
_symmetry_Int_Tables_number 2
_symmetry_space_group_name_Hall '-P 1'
loop_
_atom_site_label
_atom_site_fract_x
_atom_site_fract_y
_atom_site_fract_z
Tl1 0.0000 0.0000 0.0000
Tl2 0.0434 0.5599 0.3365
In1 0.3783 0.3941 0.0954
In2 0.5000 0.0000 0.5000
Hg1 0.1273 0.1156 0.7042
Hg2 0.2492 0.7269 0.1005
Hg3 0.3069 0.2934 0.4401
Hg4 0.3461 0.8368 0.7754
```

Most intense lines, 10 to 80 degrees two-theta, in order of rising 2θ:
2θ (°), intensity
30.18, 93
30.54, 100
30.90, 95
37.30, 60
37.60, 52
37.96, 57
38.33, 52
48.76, 24
49.14, 26
63.73, 23

=====

3.
Computed powder XRD pattern
Compound: YTlInHg
Radiation: Cu Ka
Structure: a structure optimized by DFT (GGA-PBE)
No peak broadening, texture or thermal motion is included.

```
data_YTlInHg
_chemical_formula_sum 'Y1 Tl1 In1 Hg1'
_cell_length_a 4.6237
_cell_length_b 4.6353
_cell_length_c 4.7142
_cell_angle_alpha 90.00
_cell_angle_beta 90.00
_cell_angle_gamma 90.00
_symmetry_space_group_name_H-M 'P m m m'
_symmetry_Int_Tables_number 47
_symmetry_space_group_name_Hall '-P 2 2'
loop_
_atom_site_label
_atom_site_fract_x
_atom_site_fract_y
_atom_site_fract_z
Y1 0.0000 0.0000 0.0000
Tl1 0.5000 0.5000 0.0000
In1 0.5000 0.0000 0.5000
Hg1 0.0000 0.5000 0.5000
```

Most intense lines, 10 to 80 degrees two-theta, in order of rising 2θ:
2θ (°), intensity
33.32, 100
38.18, 17
38.86, 16
38.96, 16
55.65, 23
56.20, 11
65.94, 14
66.86, 13
67.00, 13
69.98, 12